Calculated XRD peak list
Compound: CrNi4Rh
Radiation: copper Kα
Structure: a cell relaxed with GGA-PBE

The 8 most intense peaks (10 to 90 degrees two-theta), sorted by position:
(hkl)  2θ (°)  intensity
1 1 1  23.33  5
2 0 0  27.00  5
2 2 0  38.56  34
3 1 1  45.55  100
2 2 2  47.70  34
4 2 2  69.76  11
5 1 1  74.68  28
4 4 0  82.64  23

Structure:
Lattice parameters (Å, degrees): 6.6046 6.6046 6.6046 90.00 90.00 90.00
Space group F-43m (No. 216)
Inequivalent atoms, fractional coordinates:
Cr: 0.0000 0.0000 0.0000 x4
Ni: 0.1250 0.1250 0.6250 x16
Rh: 0.2500 0.2500 0.2500 x4